(1)
Simulated PXRD pattern of Tb4Sm10Tm for Cu Kα (weighted mean of Kα1 and Kα2), from a crystal structure in Alexandria, relaxed with GGA-PBE.
Neutral-atom scattering factors, no anomalous dispersion.

Principal peaks in the range 5 to 70 degrees two-theta, sorted by position:
index  Position (°2θ)  I/Imax
2 1 1  19.82  28
1 3 0  22.92  11
4 2 0  32.64  100
5 0 1  38.48  16
4 2 2  40.26  3
2 6 0  46.83  18
6 3 1  51.33  7
7 1 0  52.76  5
7 1 2  58.25  38
6 3 3  62.14  4
2 1 5  62.24  1
8 4 0  68.39  12

Structural model:
a b c (Å): 12.2764 12.2764 7.7494
angles (deg): 90.00 90.00 90.00
Space group I4/m (No. 87)
Unique sites:
1 Tb 0.1007 0.2990 0.0000 x8
2 Sm 0.0000 0.5000 0.2500 x4
3 Sm 0.0991 0.8001 0.2509 x16
4 Tm 0.0000 0.0000 0.5000 x2


(2)
Simulated PXRD pattern of ZrTlInBr2 for Cu Kα (weighted mean of Kα1 and Kα2), from a crystal structure in Alexandria, relaxed with GGA-PBE.
Neutral-atom scattering factors, no anomalous dispersion.

Principal peaks in the range 5 to 70 degrees two-theta, sorted by position:
index  Position (°2θ)  I/Imax
1 0 1  21.72  70
1 1 0  21.88  42
1 1 1  26.75  100
0 0 2  30.67  50
2 0 0  31.13  96
1 1 2  37.99  21
2 1 1  38.28  33
2 0 2  44.27  72
2 2 0  44.61  35
3 1 0  50.18  17
3 1 1  52.78  30
2 2 2  55.11  38

Structural model:
a b c (Å): 5.7454 5.7454 5.8296
angles (deg): 90.00 90.00 90.00
Space group P4/mmm (No. 123)
Unique sites:
1 Zr 0.0000 0.0000 0.0000 x1
2 Tl 0.5000 0.5000 0.0000 x1
3 In 0.0000 0.0000 0.5000 x1
4 Br 0.0000 0.5000 0.5000 x2


(3)
Simulated PXRD pattern of TlFeCu2Cl6 for Cu Kα (weighted mean of Kα1 and Kα2), from a crystal structure in Alexandria, relaxed with GGA-PBE.
Neutral-atom scattering factors, no anomalous dispersion.

Principal peaks in the range 5 to 70 degrees two-theta, sorted by position:
index  Position (°2θ)  I/Imax
1 1 -1  13.62  29
2 0 0  14.72  31
1 1 1  19.01  34
2 2 -1  20.66  22
2 2 0  20.90  100
3 1 0  23.40  91
2 2 -2  27.44  48
4 0 -2  28.96  33
0 4 1  32.54  38
1 3 2  37.67  25
5 3 0  43.92  33
2 6 -1  47.82  24

Structural model:
a b c (Å): 13.5782 11.9986 7.7949
angles (deg): 90.00 117.54 90.00
Space group C2/c (No. 15)
Unique sites:
1 Tl 0.0000 0.2003 0.2500 x4
2 Fe 0.0000 0.1799 0.7500 x4
3 Cu 0.1877 0.4571 0.1759 x8
4 Cl 0.1118 0.0743 0.6784 x8
5 Cl 0.1143 0.2823 0.0051 x8
6 Cl 0.1600 0.4222 0.4365 x8